# 1
The following is a theoretical powder diffractogram of SrMg14Zn. It was derived from DFT lattice parameters and positions (PBE), using copper Kα.
Neutral-atom scattering factors, no anomalous dispersion.

Principal peaks in the range 10 to 90 degrees two-theta, in order of rising 2θ:
2θ/deg	intensity
17.80	16
31.85	26
33.92	39
36.04	49
36.21	100
47.22	17
56.52	16
62.19	18
67.57	18
69.20	14

Atomic structure:
```
SrMg14Zn
1.0
10.571 0.000 0.000
0.000 3.238 5.651
0.000 -3.238 5.651
Sr Mg Zn
1 14 1
Cartesian
0.000 0.000 0.000
0.000 -1.540 2.864
0.000 1.540 2.864
2.504 0.000 7.450
2.745 -1.573 4.643
2.745 1.573 4.643
2.785 0.000 1.880
5.286 0.000 5.620
5.286 -1.597 8.429
5.286 1.597 8.429
5.286 0.000 11.246
7.786 0.000 1.880
7.826 -1.573 4.643
7.826 1.573 4.643
8.067 0.000 7.450
0.000 0.000 5.404
```

# 2
The following is a theoretical powder diffractogram of SrMg6Zr. It was derived from DFT lattice parameters and positions (PBE), using copper Kα.
Neutral-atom scattering factors, no anomalous dispersion.

Principal peaks in the range 10 to 90 degrees two-theta, in order of rising 2θ:
2θ/deg	intensity
18.93	47
26.90	39
33.10	100
38.35	32
38.53	17
43.11	15
47.48	12
55.49	21
66.04	23
66.28	13

Atomic structure:
```
SrMg6Zr
1.0
6.639 0.000 0.000
0.000 6.639 0.000
0.000 0.000 4.673
Sr Mg Zr
1 6 1
Cartesian
0.000 0.000 0.000
0.000 3.319 0.000
1.798 1.798 2.337
1.798 4.841 2.337
3.319 0.000 0.000
4.841 1.798 2.337
4.841 4.841 2.337
3.319 3.319 0.000
```

# 3
The following is a theoretical powder diffractogram of SrMg6Zr. It was derived from DFT lattice parameters and positions (PBE), using copper Kα.
Neutral-atom scattering factors, no anomalous dispersion.

Principal peaks in the range 10 to 90 degrees two-theta, in order of rising 2θ:
2θ/deg	intensity
18.66	16
18.88	16
19.24	15
26.66	13
27.08	13
33.09	100
37.83	18
38.30	16
39.06	15
65.33	13

Atomic structure:
```
SrMg6Zr
1.0
4.756 0.000 0.000
0.000 9.225 0.000
0.000 0.000 9.401
Sr Mg Zr
2 12 2
Cartesian
0.000 0.000 0.000
0.000 4.613 4.701
0.000 2.268 2.389
0.000 2.344 7.090
0.000 6.881 7.090
0.000 6.957 2.389
2.378 0.000 2.561
2.378 0.000 6.900
2.378 2.110 4.739
2.378 2.503 0.038
2.378 4.613 2.199
2.378 4.613 7.262
2.378 6.722 0.038
2.378 7.115 4.739
0.000 0.000 4.753
0.000 4.613 0.052
```

# 4
The following is a theoretical powder diffractogram of SrMg6Zr. It was derived from DFT lattice parameters and positions (PBE), using copper Kα.
Neutral-atom scattering factors, no anomalous dispersion.

Principal peaks in the range 10 to 90 degrees two-theta, in order of rising 2θ:
2θ/deg	intensity
14.99	40
22.59	20
23.15	24
31.92	23
32.05	17
33.99	30
34.80	100
36.29	17
47.32	15
61.35	18

Atomic structure:
```
SrMg6Zr
1.0
5.275 0.000 0.000
0.000 6.952 0.000
0.000 0.000 11.214
Sr Mg Zr
2 12 2
Cartesian
0.000 0.000 0.000
0.000 3.476 5.607
0.000 0.000 5.786
0.000 1.594 2.908
0.000 1.882 8.515
0.000 3.476 0.179
0.000 5.070 8.515
0.000 5.358 2.908
2.638 0.000 7.935
2.638 1.599 5.023
2.638 1.877 10.630
2.638 3.476 2.328
2.638 5.075 10.630
2.638 5.353 5.023
2.638 0.000 2.356
2.638 3.476 7.963
```